This entry pairs a crystal structure of Ag12SbAu2 with its calculated powder XRD pattern. Radiation: CuKα. Structure: DFT lattice parameters and positions (GGA-PBE).
No peak broadening, texture or thermal motion is included.

Cell: 5.6427 5.6427 20.1386 Å, 90.00 90.00 90.00°
Space group P4/nbm (No. 125, origin choice 2)
Inequivalent atoms, fractional coordinates:
Ag  0.9997  0.0003  0.1057 (multiplicity 8)
Ag  0.0757  0.5757  0.4380 (multiplicity 8)
Ag  0.2500  0.2500  0.2099 (multiplicity 4)
Ag  0.2500  0.2500  0.3434 (multiplicity 4)
Sb  0.2500  0.7500  0.0000 (multiplicity 2)
Au  0.2500  0.7500  0.2185 (multiplicity 4)

Main lines, sorted by position (15° ≤ 2θ ≤ 90°):
2θ (°)  I/Imax  h k l
28.5  41  1 1 4
33.0  100  2 0 2
36.5  64  2 0 4
39.0  87  2 0 5
40.3  62  0 0 9
41.8  32  2 0 6
45.0  57  2 0 7
45.5  73  2 2 0
62.4  47  2 2 9
79.6  27  4 2 5